This entry pairs a crystal structure of Tm4Al4O11 with its theoretical XRD peak list. Radiation: Cu Kα. Structure: a structure optimized by DFT (GGA-PBE).

The 10 most intense peaks (10 to 90 degrees two-theta), low angle first:
2θ 24.1, I = 49, hkl 1 1 0; 2θ 24.3, I = 100, hkl 0 0 2; 2θ 33.7, I = 29, hkl 0 2 0; 2θ 34.5, I = 74, hkl 1 1 -2; 2θ 34.6, I = 78, hkl 1 -1 2; 2θ 35.2, I = 40, hkl 2 0 0; 2θ 35.9, I = 27, hkl 0 2 1; 2θ 42.0, I = 26, hkl 0 2 -2; 2θ 43.2, I = 39, hkl 2 0 -2; 2θ 49.9, I = 23, hkl 0 0 4

Cell and atoms:
Unit cell a=5.1041 b=5.3167 c=7.3154 alpha=89.90 beta=89.94 gamma=89.68
Element x y z (fractional)
Tm1 0.0000 0.0000 0.0000
Tm2 0.0289 0.1224 0.5003
Tm3 0.4968 0.6222 0.5068
Tm4 0.5324 0.5025 0.0023
Al1 0.0154 0.5623 0.2521
Al2 0.0202 0.5576 0.7509
Al3 0.5127 0.0646 0.7512
Al4 0.5150 0.0622 0.2522
O1 0.1108 0.5875 0.0016
O2 0.2157 0.8615 0.7028
O3 0.2169 0.8594 0.3006
O4 0.3149 0.3602 0.3048
O5 0.4193 0.0922 0.0010
O6 0.6063 0.0371 0.5024
O7 0.7152 0.7632 0.7997
O8 0.7170 0.7661 0.2011
O9 0.8138 0.2642 0.7992
O10 0.8157 0.2636 0.2017
O11 0.9196 0.5360 0.5010